Computed X-ray diffraction stick pattern of Na2ZrTaSi2PO12 for Cu Kα, from the PBE geometry in the Materials Project.

The 10 most intense peaks (10 to 80 degrees two-theta), most intense first:
2θ = 19.15°, intensity 100, hkl 2 0 -2; 2θ = 19.72°, intensity 78, hkl 3 1 -1; 2θ = 30.56°, intensity 67, hkl 0 2 2; 2θ = 13.69°, intensity 58, hkl 1 1 -1; 2θ = 19.61°, intensity 37, hkl 0 2 0; 2θ = 27.55°, intensity 34, hkl 2 2 -2; 2θ = 30.65°, intensity 32, hkl 3 1 1; 2θ = 34.38°, intensity 31, hkl 3 3 -1; 2θ = 22.84°, intensity 21, hkl 0 2 1; 2θ = 27.70°, intensity 20, hkl 4 0 0

Structural model:
abc: 15.5690 9.0524 9.2767
angles: 90.00 124.18 90.00
Space group Cc (No. 9)
Symmetry-distinct sites (fractional):
Na 0.0000 0.0624 0.0000
Na 0.0707 0.2562 0.7449
Zr 0.4183 0.2504 0.8081
Ta 0.2154 0.2505 0.1890
Si 0.1725 0.1028 0.4969
Si 0.3150 0.4595 0.9997
P 0.4632 0.1060 0.5007
O 0.0581 0.3131 0.0182
O 0.0707 0.1696 0.4805
O 0.1689 0.0792 0.0223
O 0.1749 0.1358 0.3224
O 0.2376 0.3553 0.0239
O 0.2475 0.4269 0.3304
O 0.2733 0.1745 0.6654
O 0.3650 0.1819 0.3371
O 0.3924 0.4411 0.6708
O 0.3948 0.3598 0.9799
O 0.4626 0.1341 0.6608
O 0.4685 0.0598 0.9774